No. 1
For Ac3Ge3Rh2, a structure optimized by DFT (PBE) gives the calculated XRD peak list in this record (Cu Kα (λ = 1.5418 Å)).

Cell and atoms:
```
16
Lattice="2.1688 -5.8119 0.0000 2.1688 5.8119 0.0000 0.0000 0.0000 16.2781" Properties=species:S:1:pos:R:3 pbc="T T T"
Ac 2.1688 4.9496 12.2086
Ac 2.1688 1.7151 9.6636
Ac 2.1688 1.7151 14.7536
Ac 2.1688 -1.7151 1.5245
Ac 2.1688 -1.7151 6.6146
Ac 2.1688 -4.9496 4.0695
Ge 2.1688 4.9198 9.0129
Ge 2.1688 4.9198 15.4043
Ge 2.1688 3.3129 4.0695
Ge 2.1688 -3.3129 12.2086
Ge 2.1688 -4.9198 0.8739
Ge 2.1688 -4.9198 7.2652
Rh 2.1688 1.6815 1.9805
Rh 2.1688 1.6815 6.1585
Rh 2.1688 -1.6815 10.1196
Rh 2.1688 -1.6815 14.2976
```

Top 10 peaks for 2θ = 10–90°, sorted by position:
Position (°2θ)  Rel. int.
22.42  31
30.77  32
30.95  62
31.10  100
31.44  39
33.02  43
38.20  44
41.65  64
41.80  39
59.62  30

No. 2
For Ac4Ge6Rh7, a structure optimized by DFT (PBE) gives the calculated XRD peak list in this record (Cu Kα (λ = 1.5418 Å)).

Cell and atoms:
```
17
Lattice="-4.4360 4.4360 4.4360 4.4360 -4.4360 4.4360 4.4360 4.4360 -4.4360" Properties=species:S:1:pos:R:3 pbc="T T T"
Ac 2.2180 2.2180 -2.2180
Ac 2.2180 -2.2180 2.2180
Ac -2.2180 2.2180 2.2180
Ac 2.2180 2.2180 2.2180
Ge 3.0323 0.0000 0.0000
Ge 5.8396 0.0000 0.0000
Ge 0.0000 3.0323 0.0000
Ge 0.0000 0.0000 3.0323
Ge 0.0000 5.8396 0.0000
Ge 0.0000 0.0000 5.8396
Rh 0.0000 0.0000 0.0000
Rh 4.4360 2.2180 0.0000
Rh 4.4360 0.0000 2.2180
Rh 2.2180 4.4360 0.0000
Rh 2.2180 0.0000 4.4360
Rh 0.0000 4.4360 2.2180
Rh 0.0000 2.2180 4.4360
```

Top 10 peaks for 2θ = 10–90°, sorted by position:
Position (°2θ)  Rel. int.
28.46  65
35.04  100
37.95  20
40.68  65
45.74  19
48.10  15
58.88  33
62.85  16
66.67  19
70.39  30